Simulated X-ray diffraction stick pattern
Compound: DyErTm2Te6
Radiation: Cu Kα (λ = 1.5418 Å)
Structure: a structure optimized by DFT (PBE)

```
data_DyErTm2Te6
_cell_length_a 7.6296
_cell_length_b 7.6296
_cell_length_c 20.9116
_cell_angle_alpha 90.00
_cell_angle_beta 90.00
_cell_angle_gamma 120.00
_symmetry_space_group_name_H-M 'R 3'
_symmetry_Int_Tables_number 146
_symmetry_space_group_name_Hall 'R 3'
loop_
_atom_site_label
_atom_site_type_symbol
_atom_site_fract_x
_atom_site_fract_y
_atom_site_fract_z
Dy1 Dy 0.0000 0.0000 0.0000
Er1 Er 0.0000 0.0000 0.5004
Tm1 Tm 0.0000 0.0000 0.1848
Tm2 Tm 0.0000 0.0000 0.6852
Te1 Te 0.0191 0.3494 0.7603
Te2 Te 0.0220 0.6717 0.2599
```

The 10 most intense peaks (5 to 70 degrees two-theta), most intense first:
2theta  d (Å)  I (rel.)  index
34.87  2.573  100  1 1 6
26.64  3.346  84  1 1 3
40.98  2.202  62  3 0 0
15.87  5.586  35  0 1 2
21.68  4.100  27  1 0 4
54.87  1.673  27  4 -2 6
68.68  1.367  21  3 0 12
45.72  1.984  19  2 -1 9
32.05  2.793  19  0 2 4
40.01  2.253  17  2 1 4